No. 1
Simulated XRD peak list
Compound: LiFe2F9
Radiation: copper Kα
Structure: the PBE+U geometry in the Materials Project
Kinematic intensities with the Lorentz-polarization factor, no thermal factor.

Cell and atoms:
Unit cell a=7.316 b=7.316 c=8.250 alpha=117.76 beta=117.76 gamma=64.79
Element x y z (fractional)
Li 0.140 0.860 0.500
Li 0.860 0.140 0.000
Fe 0.146 0.461 0.014
Fe 0.450 0.937 0.017
Fe 0.461 0.146 0.514
Fe 0.937 0.450 0.517
F 0.106 0.680 0.236
F 0.221 0.918 0.033
F 0.249 0.341 0.633
F 0.289 0.962 0.771
F 0.341 0.249 0.133
F 0.344 0.942 0.446
F 0.375 0.488 0.019
F 0.488 0.375 0.519
F 0.581 0.657 0.968
F 0.584 0.977 0.317
F 0.657 0.581 0.468
F 0.679 0.986 0.035
F 0.680 0.106 0.736
F 0.918 0.221 0.533
F 0.942 0.344 0.946
F 0.962 0.289 0.271
F 0.977 0.584 0.817
F 0.986 0.679 0.535

The 10 most intense peaks (10° ≤ 2θ ≤ 90°), sorted by position:
- 6.239 Å, 14.19 deg, I 49
- 5.657 Å, 15.66 deg, I 54
- 5.153 Å, 17.21 deg, I 100
- 4.086 Å, 21.75 deg, I 58
- 3.920 Å, 22.69 deg, I 54
- 3.640 Å, 24.45 deg, I 92
- 3.441 Å, 25.89 deg, I 86
- 3.406 Å, 26.16 deg, I 44
- 3.120 Å, 28.61 deg, I 31
- 2.239 Å, 40.28 deg, I 36

---

No. 2
Simulated XRD peak list
Compound: K2Na4Fe2O5
Radiation: copper Kα
Structure: the PBE+U geometry in the Materials Project
Kinematic intensities with the Lorentz-polarization factor, no thermal factor.

Cell and atoms:
Unit cell a=6.486 b=6.486 c=10.542 alpha=90.00 beta=90.00 gamma=90.00
Element x y z (fractional)
K 0.189 0.189 0.000
K 0.311 0.689 0.500
K 0.689 0.311 0.500
K 0.811 0.811 0.000
Na 0.000 0.000 0.276
Na 0.000 0.000 0.724
Na 0.000 0.500 0.250
Na 0.000 0.500 0.750
Na 0.500 0.000 0.250
Na 0.500 0.000 0.750
Na 0.500 0.500 0.224
Na 0.500 0.500 0.776
Fe 0.208 0.208 0.500
Fe 0.292 0.708 0.000
Fe 0.708 0.292 0.000
Fe 0.792 0.792 0.500
O 0.000 0.000 0.500
O 0.209 0.791 0.163
O 0.209 0.791 0.837
O 0.291 0.291 0.337
O 0.291 0.291 0.663
O 0.500 0.500 0.000
O 0.709 0.709 0.337
O 0.709 0.709 0.663
O 0.791 0.209 0.163
O 0.791 0.209 0.837

The 10 most intense peaks (10° ≤ 2θ ≤ 90°), sorted by position:
- 5.271 Å, 16.82 deg, I 25
- 4.206 Å, 21.12 deg, I 37
- 2.762 Å, 32.41 deg, I 100
- 2.636 Å, 34.02 deg, I 34
- 2.541 Å, 35.32 deg, I 54
- 2.293 Å, 39.29 deg, I 55
- 1.951 Å, 46.56 deg, I 24
- 1.730 Å, 52.92 deg, I 21
- 1.545 Å, 59.87 deg, I 24
- 1.508 Å, 61.51 deg, I 24

---

No. 3
Simulated XRD peak list
Compound: Mn2OF3
Radiation: copper Kα
Structure: the PBE+U geometry in the Materials Project
Kinematic intensities with the Lorentz-polarization factor, no thermal factor.

Cell and atoms:
Unit cell a=12.735 b=4.872 c=4.872 alpha=93.42 beta=90.00 gamma=90.00
Element x y z (fractional)
Mn 0.000 0.000 0.000
Mn 0.125 0.469 0.469
Mn 0.251 0.007 0.007
Mn 0.375 0.479 0.479
Mn 0.500 0.948 0.948
Mn 0.625 0.479 0.479
Mn 0.749 0.007 0.007
Mn 0.875 0.469 0.469
O 0.000 0.291 0.291
O 0.253 0.302 0.302
O 0.500 0.650 0.650
O 0.747 0.302 0.302
F 0.000 0.685 0.685
F 0.124 0.184 0.796
F 0.124 0.796 0.184
F 0.245 0.692 0.692
F 0.375 0.180 0.778
F 0.375 0.778 0.180
F 0.500 0.262 0.262
F 0.625 0.180 0.778
F 0.625 0.778 0.180
F 0.755 0.692 0.692
F 0.876 0.184 0.796
F 0.876 0.796 0.184

The 10 most intense peaks (10° ≤ 2θ ≤ 90°), sorted by position:
- 3.546 Å, 25.11 deg, I 100
- 3.341 Å, 26.69 deg, I 89
- 2.664 Å, 33.65 deg, I 98
- 2.369 Å, 37.98 deg, I 20
- 2.305 Å, 39.08 deg, I 20
- 1.826 Å, 49.95 deg, I 68
- 1.773 Å, 51.55 deg, I 21
- 1.767 Å, 51.72 deg, I 50
- 1.592 Å, 57.93 deg, I 19
- 1.445 Å, 64.51 deg, I 42

---

No. 4
Simulated XRD peak list
Compound: Na2LiMnPCO7
Radiation: copper Kα
Structure: the PBE+U geometry in the Materials Project
Kinematic intensities with the Lorentz-polarization factor, no thermal factor.

Cell and atoms:
Unit cell a=6.849 b=8.848 c=10.231 alpha=90.73 beta=90.14 gamma=90.34
Element x y z (fractional)
Na 0.000 0.000 0.000
Na 0.000 0.000 0.497
Na 0.001 0.513 0.250
Na 0.247 0.174 0.753
Na 0.500 0.000 0.496
Na 0.500 0.514 0.250
Na 0.501 0.000 0.999
Na 0.502 0.513 0.749
Li 0.250 0.173 0.251
Li 0.754 0.348 0.998
Li 0.757 0.346 0.499
Li 0.981 0.528 0.757
Mn 0.247 0.615 0.984
Mn 0.248 0.614 0.487
Mn 0.749 0.895 0.760
Mn 0.751 0.896 0.262
P 0.245 0.843 0.725
P 0.251 0.852 0.226
P 0.749 0.662 0.019
P 0.754 0.659 0.522
C 0.249 0.310 0.502
C 0.250 0.315 0.012
C 0.750 0.205 0.240
C 0.759 0.211 0.742
O 0.066 0.940 0.767
O 0.070 0.949 0.265
O 0.233 0.680 0.782
O 0.247 0.405 0.602
O 0.247 0.407 0.113
O 0.248 0.828 0.573
O 0.249 0.827 0.075
O 0.250 0.361 0.383
O 0.250 0.373 0.895
O 0.251 0.171 0.030
O 0.251 0.694 0.290
O 0.252 0.167 0.523
O 0.431 0.930 0.770
O 0.433 0.949 0.265
O 0.566 0.566 0.980
O 0.569 0.564 0.486
O 0.749 0.110 0.647
O 0.749 0.346 0.209
O 0.750 0.820 0.461
O 0.750 0.821 0.958
O 0.751 0.103 0.146
O 0.751 0.163 0.362
O 0.751 0.167 0.863
O 0.754 0.685 0.171
O 0.766 0.679 0.675
O 0.775 0.352 0.713
O 0.927 0.565 0.974
O 0.931 0.564 0.476

The 10 most intense peaks (10° ≤ 2θ ≤ 90°), sorted by position:
- 4.408 Å, 20.14 deg, I 26
- 3.425 Å, 26.02 deg, I 100
- 3.367 Å, 26.47 deg, I 39
- 3.325 Å, 26.81 deg, I 24
- 2.714 Å, 33.00 deg, I 96
- 2.699 Å, 33.19 deg, I 48
- 2.558 Å, 35.09 deg, I 66
- 1.863 Å, 48.89 deg, I 24
- 1.853 Å, 49.17 deg, I 25
- 1.712 Å, 53.52 deg, I 38

---

No. 5
Simulated XRD peak list
Compound: LiV2F7
Radiation: copper Kα
Structure: the PBE+U geometry in the Materials Project
Kinematic intensities with the Lorentz-polarization factor, no thermal factor.

Cell and atoms:
Unit cell a=4.914 b=4.914 c=10.649 alpha=97.32 beta=97.32 gamma=82.69
Element x y z (fractional)
Li 0.190 0.810 0.500
Li 0.810 0.190 0.000
V 0.175 0.181 0.265
V 0.181 0.175 0.765
V 0.718 0.736 0.264
V 0.736 0.718 0.764
F 0.018 0.941 0.876
F 0.022 0.514 0.383
F 0.398 0.901 0.151
F 0.417 0.489 0.766
F 0.446 0.941 0.647
F 0.449 0.946 0.384
F 0.489 0.417 0.266
F 0.514 0.022 0.883
F 0.889 0.962 0.151
F 0.901 0.398 0.651
F 0.941 0.018 0.376
F 0.941 0.446 0.147
F 0.946 0.449 0.884
F 0.962 0.889 0.651

The 10 most intense peaks (10° ≤ 2θ ≤ 90°), sorted by position:
- 5.247 Å, 16.90 deg, I 100
- 4.843 Å, 18.32 deg, I 13
- 3.636 Å, 24.48 deg, I 25
- 3.259 Å, 27.37 deg, I 16
- 2.761 Å, 32.43 deg, I 32
- 2.110 Å, 42.87 deg, I 10
- 2.041 Å, 44.39 deg, I 21
- 1.889 Å, 48.17 deg, I 18
- 1.817 Å, 50.22 deg, I 17
- 1.687 Å, 54.39 deg, I 15

---

No. 6
Simulated XRD peak list
Compound: MgMn2O4
Radiation: copper Kα
Structure: the PBE+U geometry in the Materials Project
Kinematic intensities with the Lorentz-polarization factor, no thermal factor.

Cell and atoms:
Unit cell a=6.029 b=6.029 c=6.029 alpha=118.64 beta=118.64 gamma=92.37
Element x y z (fractional)
Mg 0.375 0.125 0.250
Mg 0.625 0.875 0.750
Mn 0.000 0.000 0.500
Mn 0.000 0.500 0.000
Mn 0.000 0.500 0.500
Mn 0.500 0.500 0.000
O 0.203 0.720 0.953
O 0.220 0.767 0.517
O 0.250 0.297 0.017
O 0.267 0.250 0.547
O 0.733 0.750 0.453
O 0.750 0.703 0.983
O 0.780 0.233 0.483
O 0.797 0.280 0.047

The 10 most intense peaks (10° ≤ 2θ ≤ 90°), sorted by position:
- 4.953 Å, 17.91 deg, I 93
- 2.613 Å, 34.32 deg, I 100
- 2.535 Å, 35.40 deg, I 37
- 2.476 Å, 36.28 deg, I 19
- 2.175 Å, 41.52 deg, I 52
- 2.087 Å, 43.36 deg, I 23
- 1.672 Å, 54.92 deg, I 30
- 1.611 Å, 57.17 deg, I 14
- 1.538 Å, 60.16 deg, I 26
- 1.506 Å, 61.58 deg, I 48